No. 1
Structure and calculated powder diffraction line list of Er3As6Pd20 (the PBE geometry in Alexandria; Cu Kα).

Largest 8 diffraction maxima, by angle, 15° ≤ 2θ ≤ 90°:
2θ (°)  d [Å]  I_rel
35.07  2.559  28
37.27  2.413  100
40.72  2.216  54
42.67  2.119  25
48.15  1.890  24
62.91  1.477  26
64.36  1.448  15
74.11  1.279  30

```
29
Lattice="0.0000 6.2679 6.2679 6.2679 0.0000 6.2679 6.2679 6.2679 0.0000" Properties=species:S:1:pos:R:3 pbc="T T T"
Er 0.0000 0.0000 0.0000
Er 3.1340 3.1340 3.1340
Er 9.4019 9.4019 9.4019
As 6.2679 6.2679 3.3327
As 6.2679 3.3327 6.2679
As 9.2031 6.2679 6.2679
As 3.3327 6.2679 6.2679
As 6.2679 9.2031 6.2679
As 6.2679 6.2679 9.2031
Pd 2.1757 2.1757 0.0000
Pd 4.0922 4.0922 0.0000
Pd 2.1757 0.0000 2.1757
Pd 6.2679 4.0922 2.1757
Pd 4.0922 0.0000 4.0922
Pd 6.2679 2.1757 4.0922
Pd 7.7605 4.7753 4.7753
Pd 0.0000 2.1757 2.1757
Pd 4.0922 6.2679 2.1757
Pd 4.0922 2.1757 6.2679
Pd 4.7753 4.7753 4.7753
Pd 7.7605 7.7605 4.7753
Pd 7.7605 4.7753 7.7605
Pd 4.7753 7.7605 4.7753
Pd 4.7753 4.7753 7.7605
Pd 7.7605 7.7605 7.7605
Pd 0.0000 4.0922 4.0922
Pd 2.1757 6.2679 4.0922
Pd 2.1757 4.0922 6.2679
Pd 4.7753 7.7605 7.7605
```

=====

No. 2
Structure and calculated powder diffraction line list of Er3As2Pd2Rh5 (the PBE geometry in Alexandria; Cu Kα).

Largest 8 diffraction maxima, by angle, 15° ≤ 2θ ≤ 90°:
2θ (°)  d [Å]  I_rel
31.40  2.849  29
37.65  2.389  100
38.02  2.367  35
41.95  2.154  33
44.01  2.057  25
45.00  2.015  69
65.53  1.425  22
78.11  1.224  24

```
12
Lattice="-2.0146 2.0146 13.1609 2.0146 -2.0146 13.1609 2.0146 2.0146 -13.1609" Properties=species:S:1:pos:R:3 pbc="T T T"
Er 0.0000 0.0000 0.0000
Er 0.0000 0.0000 4.3749
Er 0.0000 0.0000 21.9469
As 0.0000 0.0000 9.7130
As 0.0000 0.0000 16.6089
Pd 0.0000 0.0000 7.2280
Pd 0.0000 0.0000 19.0938
Rh 2.0146 0.0000 2.0818
Rh 2.0146 0.0000 11.0791
Rh 0.0000 0.0000 13.1609
Rh 0.0000 2.0146 2.0818
Rh 0.0000 2.0146 11.0791
```

=====

No. 3
Structure and calculated powder diffraction line list of ErTe2As2Pd7 (the PBE geometry in Alexandria; Cu Kα).

Largest 8 diffraction maxima, by angle, 15° ≤ 2θ ≤ 90°:
2θ (°)  d [Å]  I_rel
29.73  3.005  36
32.08  2.790  41
33.74  2.656  42
36.37  2.470  93
39.79  2.265  44
43.87  2.064  85
45.16  2.008  100
48.47  1.878  35

```
12
Lattice="2.8402 -2.8395 0.0000 2.8402 2.8395 0.0000 -2.8168 0.0000 15.0235" Properties=species:S:1:pos:R:3 pbc="T T T"
Er 0.0000 0.0000 0.0000
Te 0.0045 0.0000 6.2821
Te 2.8592 0.0000 8.7414
As 0.0217 0.0000 11.4318
As 2.8419 0.0000 3.5917
Pd 1.4212 1.4196 2.1410
Pd 0.0206 0.0000 8.9822
Pd 1.4425 1.4196 12.8825
Pd 2.8402 0.0000 0.0000
Pd 1.4212 -1.4196 2.1410
Pd 2.8431 0.0000 6.0413
Pd 1.4425 -1.4196 12.8825
```

=====

No. 4
Structure and calculated powder diffraction line list of PmEr2TmAs4 (the PBE geometry in Alexandria; Cu Kα).

Largest 8 diffraction maxima, by angle, 15° ≤ 2θ ≤ 90°:
2θ (°)  d [Å]  I_rel
26.51  3.362  24
30.70  2.912  100
43.97  2.059  75
52.08  1.756  12
54.59  1.681  26
63.94  1.456  12
72.59  1.302  33
80.85  1.189  25

```
8
Lattice="7.1306 0.0000 0.0000 0.0000 4.1202 0.0000 -2.3777 0.0000 6.7237" Properties=species:S:1:pos:R:3 pbc="T T T"
Pm 0.0000 0.0000 0.0000
Er -1.1888 2.0601 3.3619
Er 2.3765 0.0000 3.3619
Tm 3.5653 2.0601 0.0000
As 0.0345 0.0000 5.0266
As 1.2232 2.0601 1.7222
As 3.5297 2.0601 5.0015
As 4.7185 0.0000 1.6971
```

=====

No. 5
Structure and calculated powder diffraction line list of PrErTeAs (the PBE geometry in Alexandria; Cu Kα).

Largest 8 diffraction maxima, by angle, 15° ≤ 2θ ≤ 90°:
2θ (°)  d [Å]  I_rel
24.78  3.593  26
25.73  3.463  23
29.23  3.055  37
31.62  2.830  100
37.33  2.409  35
43.05  2.101  57
54.38  1.687  22
66.89  1.399  19

```
4
Lattice="2.1013 1.2132 7.4976 -2.1013 1.2132 7.4976 0.0000 -2.4264 7.4976" Properties=species:S:1:pos:R:3 pbc="T T T"
Pr 0.0000 0.0000 0.0000
Er 0.0000 0.0000 4.2554
Te 0.0000 0.0000 9.7071
As 0.0000 0.0000 13.3010
```

=====

No. 6
Structure and calculated powder diffraction line list of PrEr2Th3As6 (the PBE geometry in Alexandria; Cu Kα).

Largest 8 diffraction maxima, by angle, 15° ≤ 2θ ≤ 90°:
2θ (°)  d [Å]  I_rel
25.88  3.442  25
30.04  2.975  100
42.86  2.110  38
43.13  2.098  37
53.22  1.721  20
70.62  1.334  17
71.01  1.327  17
78.70  1.216  13

```
12
Lattice="3.6573 -6.3256 0.0000 3.6573 6.3256 0.0000 -2.4389 0.0000 6.8304" Properties=species:S:1:pos:R:3 pbc="T T T"
Pr 0.0000 0.0000 0.0000
Er 3.6573 2.1187 0.0000
Er 3.6573 -2.1187 0.0000
Th 2.4378 4.2427 3.4152
Th 2.4378 0.0000 3.4152
Th 2.4378 -4.2427 3.4152
As 1.2485 2.1585 1.6772
As 0.0600 0.0000 5.1699
As 1.2485 -2.1585 1.6772
As 3.6272 2.1585 5.1531
As 4.8157 0.0000 1.6605
As 3.6272 -2.1585 5.1531
```

=====

No. 7
Structure and calculated powder diffraction line list of Pr2Er3TmAs6 (the PBE geometry in Alexandria; Cu Kα).

Largest 8 diffraction maxima, by angle, 15° ≤ 2θ ≤ 90°:
2θ (°)  d [Å]  I_rel
26.26  3.394  22
30.41  2.940  100
43.54  2.079  75
51.56  1.773  11
54.03  1.697  26
63.27  1.470  12
71.81  1.315  33
79.94  1.200  25

```
12
Lattice="9.0567 -2.0800 0.0000 9.0567 2.0800 0.0000 -1.9041 0.0000 8.0904" Properties=species:S:1:pos:R:3 pbc="T T T"
Pr 2.3639 0.0000 2.6804
Pr 13.8454 0.0000 5.4099
Er 1.4435 0.0000 6.7490
Er 8.1046 0.0000 4.0452
Er 14.7657 0.0000 1.3413
Tm 9.0567 0.0000 0.0000
As -1.3660 0.0000 6.0944
As 4.2897 0.0000 7.4998
As 5.3144 0.0000 3.3085
As 10.8949 0.0000 4.7818
As 11.9196 0.0000 0.5906
As 17.5753 0.0000 1.9959
```

=====

No. 8
Structure and calculated powder diffraction line list of Er3As2Pt2Rh5 (the PBE geometry in Alexandria; Cu Kα).

Largest 8 diffraction maxima, by angle, 15° ≤ 2θ ≤ 90°:
2θ (°)  d [Å]  I_rel
31.56  2.835  56
32.29  2.772  53
37.70  2.386  98
37.91  2.373  71
43.84  2.065  56
45.23  2.005  100
60.45  1.532  37
64.81  1.438  35

```
12
Lattice="-2.0048 2.0048 13.2518 2.0048 -2.0048 13.2518 2.0048 2.0048 -13.2518" Properties=species:S:1:pos:R:3 pbc="T T T"
Er 0.0000 0.0000 0.0000
Er 0.0000 0.0000 4.4983
Er 0.0000 0.0000 22.0053
As 0.0000 0.0000 9.8101
As 0.0000 0.0000 16.6935
Pt 0.0000 0.0000 7.3453
Pt 0.0000 0.0000 19.1582
Rh 2.0048 0.0000 2.0939
Rh 2.0048 0.0000 11.1579
Rh 0.0000 0.0000 13.2518
Rh 0.0000 2.0048 2.0939
Rh 0.0000 2.0048 11.1579
```

=====

No. 9
Structure and calculated powder diffraction line list of Er3PuAs4 (the PBE geometry in Alexandria; Cu Kα).

Largest 8 diffraction maxima, by angle, 15° ≤ 2θ ≤ 90°:
2θ (°)  d [Å]  I_rel
26.68  3.342  31
30.90  2.894  100
44.26  2.046  75
52.43  1.745  15
54.96  1.671  26
64.39  1.447  12
73.12  1.294  34
81.46  1.181  26

```
8
Lattice="5.7879 0.0000 0.0000 0.0000 5.7879 0.0000 0.0000 0.0000 5.7879" Properties=species:S:1:pos:R:3 pbc="T T T"
Er 0.0000 0.0000 2.8939
Er 0.0000 2.8939 0.0000
Er 2.8939 0.0000 0.0000
Pu 2.8939 2.8939 2.8939
As 0.0000 0.0000 0.0000
As 0.0000 2.8939 2.8939
As 2.8939 0.0000 2.8939
As 2.8939 2.8939 0.0000
```

=====

No. 10
Structure and calculated powder diffraction line list of Er2As7Rh12 (the PBE geometry in Alexandria; Cu Kα).

Largest 8 diffraction maxima, by angle, 15° ≤ 2θ ≤ 90°:
2θ (°)  d [Å]  I_rel
35.84  2.505  100
36.00  2.495  10
44.34  2.043  14
46.51  1.952  17
48.26  1.886  26
69.27  1.356  14
79.22  1.209  10
81.82  1.177  9

```
21
Lattice="9.9790 0.0000 0.0000 -4.9895 8.6421 0.0000 0.0000 0.0000 3.9049" Properties=species:S:1:pos:R:3 pbc="T T T"
Er 0.0000 0.0000 0.0000
Er 0.0000 5.7614 1.9630
As -2.3741 5.3682 0.0025
As 2.3737 0.3936 1.9611
As 1.5275 3.9019 0.0025
As 0.8466 8.0140 0.0025
As 4.9895 2.8807 0.9897
As 4.1436 6.3896 1.9611
As 8.4513 1.8588 1.9611
Rh -3.4254 6.7615 1.9576
Rh -0.8466 3.4667 0.0062
Rh 0.8466 2.2948 1.9576
Rh -1.5639 7.6419 0.0062
Rh 2.9314 1.8867 3.9007
Rh 4.8207 0.5992 1.9684
Rh 3.0981 4.1676 1.9684
Rh 2.4105 6.1756 0.0062
Rh 2.5789 8.2278 1.9576
Rh 6.8794 1.5953 3.9007
Rh 5.1578 5.1600 3.9007
Rh 7.0498 3.8753 1.9684
```

=====

No. 11
Structure and calculated powder diffraction line list of ErAs4Ru4 (the PBE geometry in Alexandria; Cu Kα).

Largest 8 diffraction maxima, by angle, 15° ≤ 2θ ≤ 90°:
2θ (°)  d [Å]  I_rel
30.24  2.955  14
34.17  2.624  100
36.70  2.449  38
41.10  2.196  25
44.83  2.022  38
47.24  1.924  13
56.28  1.635  17
59.53  1.553  20

```
18
Lattice="6.2112 0.0000 0.0000 0.0000 6.2112 0.0000 0.0000 0.0000 7.9906" Properties=species:S:1:pos:R:3 pbc="T T T"
Er 1.5528 4.6584 1.9977
Er 4.6584 1.5528 5.9930
As 0.1399 1.5528 0.4388
As 1.5528 0.1399 4.4341
As 1.5528 2.9657 4.4341
As 2.9657 1.5528 0.4388
As 3.2455 4.6584 7.5519
As 4.6584 3.2455 3.5565
As 4.6584 6.0713 3.5565
As 6.0713 4.6584 7.5519
Ru 0.1776 1.5528 2.8453
Ru 1.5528 0.1776 6.8406
Ru 1.5528 2.9280 6.8406
Ru 2.9280 1.5528 2.8453
Ru 3.2832 4.6584 5.1453
Ru 4.6584 3.2832 1.1500
Ru 4.6584 6.0336 1.1500
Ru 6.0336 4.6584 5.1453
```

=====

No. 12
Structure and calculated powder diffraction line list of Er6As5S (the PBE geometry in Alexandria; Cu Kα).

Largest 8 diffraction maxima, by angle, 15° ≤ 2θ ≤ 90°:
2θ (°)  d [Å]  I_rel
26.96  3.307  31
31.23  2.864  100
44.75  2.025  74
53.01  1.727  10
55.58  1.654  26
65.14  1.432  12
74.01  1.281  33
82.50  1.169  25

```
12
Lattice="3.5078 -6.0719 0.0000 3.5078 6.0719 0.0000 -2.3365 0.0000 6.6174" Properties=species:S:1:pos:R:3 pbc="T T T"
Er 0.0011 2.0232 4.9633
Er 1.1695 0.0000 1.6470
Er 0.0011 -2.0232 4.9633
Er 4.6780 2.0232 1.6542
Er 3.5096 0.0000 4.9705
Er 4.6780 -2.0232 1.6542
As 3.5078 4.0479 0.0000
As 2.3396 2.0252 3.3087
As 3.5078 0.0000 0.0000
As 2.3396 -2.0252 3.3087
As 3.5078 -4.0479 0.0000
S -1.1682 0.0000 3.3087
```